Starting from a cell relaxed with PBE, the X-ray diffraction stick pattern of Sr6HoScB6O18 was simulated for Cu Kα X-rays.
Kinematic intensities with the Lorentz-polarization factor, no thermal factor.

Largest 10 diffraction maxima, in order of rising 2θ, 5 to 70 degrees two-theta:
(hkl)	two_theta	I (rel.)
0 1 2	20.97	19
2 1 1	24.29	59
2 2 0	29.30	22
3 -2 2	29.57	100
4 -3 1	32.06	38
3 1 2	36.31	30
1 4 0	39.09	20
2 2 3	41.67	26
2 1 4	45.33	28
4 1 3	49.38	20

```
data_Sr6HoScB6O18
_chemical_formula_sum 'Sr18 Ho3 Sc3 B18 O54'
_cell_length_a 12.1927
_cell_length_b 12.1927
_cell_length_c 9.2483
_cell_angle_alpha 90.00
_cell_angle_beta 90.00
_cell_angle_gamma 120.00
_space_group_name_H-M_alt 'R -3'
_space_group_IT_number 148
_space_group_name_Hall '-R 3'
loop_
_atom_site_label
_atom_site_type_symbol
_atom_site_fract_x
_atom_site_fract_y
_atom_site_fract_z
_atom_site_occupancy
Sr1 Sr 0.0423 0.4694 0.3092 1
Ho1 Ho 0.0000 0.0000 0.0000 1
Sc1 Sc 0.0000 0.0000 0.5000 1
B1 B 0.0570 0.1970 0.2380 1
O1 O 0.0011 0.2631 0.1890 1
O2 O 0.0374 0.8740 0.1462 1
O3 O 0.0506 0.1657 0.3838 1
```